Entry 1:
# TmZrMn2O6
Simulated powder diffractogram, Cu Kα (weighted mean of Kα1 and Kα2). Input: a structure optimized by DFT (GGA+U).
Peak positions follow from Bragg's law for the DFT cell and can differ from measured ones.

Principal peaks in the range 10 to 90 degrees two-theta, low angle first:
two_theta	d [Å]	I/Imax
22.6	3.930	983
31.1	2.876	1000
31.3	2.861	497
33.2	2.698	877
33.3	2.690	432
46.2	1.967	395
50.5	1.806	463
58.0	1.590	372

Cell and atoms:
abc: 5.3796 5.3909 5.7478
angles: 62.36 62.42 60.19
Fractional coordinates of all 10 atoms:
1 Tm 0.0000 0.0000 0.0000
2 Zr 0.5067 0.5114 0.4689
3 Mn 0.2058 0.2060 0.3825
4 Mn 0.7209 0.7213 0.8346
5 O 0.1191 0.8217 0.6486
6 O 0.3237 0.5731 0.1718
7 O 0.4071 0.1208 0.6507
8 O 0.5723 0.9307 0.1763
9 O 0.8215 0.4085 0.6483
10 O 0.9283 0.3238 0.1754

Entry 2:
# MnV4O12
Simulated powder diffractogram, Cu Kα (weighted mean of Kα1 and Kα2). Input: a structure optimized by DFT (GGA+U).
Peak positions follow from Bragg's law for the DFT cell and can differ from measured ones.

Principal peaks in the range 10 to 90 degrees two-theta, low angle first:
two_theta	d [Å]	I/Imax
24.1	3.700	986
24.5	3.634	1000
24.8	3.584	989
33.0	2.713	548
33.7	2.658	477
33.9	2.644	431
41.2	2.191	503
54.3	1.689	439

Cell and atoms:
abc: 4.9380 5.3206 7.4457
angles: 83.73 88.98 89.10
Fractional coordinates of all 17 atoms:
1 Mn 0.0000 0.0000 0.0000
2 V 0.0145 0.6014 0.7801
3 V 0.4730 0.1059 0.2863
4 V 0.5174 0.1308 0.7737
5 V 0.9793 0.5939 0.3076
6 O 0.1106 0.6679 0.0667
7 O 0.1982 0.3447 0.3601
8 O 0.1984 0.9516 0.7778
9 O 0.3142 0.8466 0.3709
10 O 0.3213 0.4499 0.7544
11 O 0.3381 0.1422 0.0641
12 O 0.6085 0.1271 0.5605
13 O 0.6941 0.4466 0.2663
14 O 0.7196 0.8512 0.8768
15 O 0.8121 0.9657 0.2277
16 O 0.8273 0.3137 0.8765
17 O 0.8950 0.6458 0.5668

Entry 3:
# Mn3V2O8
Simulated powder diffractogram, Cu Kα (weighted mean of Kα1 and Kα2). Input: a structure optimized by DFT (GGA+U).
Peak positions follow from Bragg's law for the DFT cell and can differ from measured ones.

Principal peaks in the range 10 to 90 degrees two-theta, low angle first:
two_theta	d [Å]	I/Imax
25.6	3.479	161
28.4	3.140	190
30.9	2.895	1000
35.7	2.514	87
36.0	2.493	87
51.4	1.777	148
51.7	1.769	245
61.2	1.515	125

Cell and atoms:
abc: 11.1684 11.1684 11.1684
angles: 142.88 142.88 53.50
Fractional coordinates of all 39 atoms:
1 Mn 0.0000 0.0000 0.0000
2 Mn 0.0241 0.5241 0.5000
3 Mn 0.1333 0.1287 0.5148
4 Mn 0.2718 0.2718 0.0000
5 Mn 0.3814 0.8667 0.9954
6 Mn 0.4759 0.9759 0.5000
7 Mn 0.6139 0.6186 0.4852
8 Mn 0.7282 0.7282 0.0000
9 Mn 0.8713 0.3861 0.0046
10 V 0.0295 0.6297 0.9065
11 V 0.2500 0.7500 0.5000
12 V 0.3703 0.2768 0.3999
13 V 0.5000 0.5000 0.0000
14 V 0.7232 0.1231 0.0935
15 V 0.8769 0.9705 0.6001
16 O 0.0585 0.8254 0.6845
17 O 0.1307 0.4048 0.8267
18 O 0.1409 0.3740 0.3155
19 O 0.1746 0.8591 0.2331
20 O 0.2452 0.0010 0.6569
21 O 0.3286 0.0506 0.2740
22 O 0.3391 0.5994 0.8494
23 O 0.3441 0.5883 0.3431
24 O 0.3853 0.1857 0.1952
25 O 0.4006 0.2500 0.7397
26 O 0.4117 0.7548 0.7558
27 O 0.5103 0.6609 0.2603
28 O 0.5781 0.3040 0.1733
29 O 0.5952 0.4219 0.7259
30 O 0.6260 0.9415 0.7669
31 O 0.6960 0.8693 0.2741
32 O 0.7500 0.4897 0.1506
33 O 0.7766 0.0546 0.7260
34 O 0.8099 0.6147 0.8005
35 O 0.8143 0.0095 0.1995
36 O 0.9454 0.6714 0.7220
37 O 0.9494 0.2234 0.2780
38 O 0.9905 0.1901 0.8048
39 O 0.9990 0.6559 0.2442

Entry 4:
# MnV4O12
Simulated powder diffractogram, Cu Kα (weighted mean of Kα1 and Kα2). Input: a structure optimized by DFT (GGA+U).
Peak positions follow from Bragg's law for the DFT cell and can differ from measured ones.

Principal peaks in the range 10 to 90 degrees two-theta, low angle first:
two_theta	d [Å]	I/Imax
18.4	4.821	619
18.9	4.699	617
20.4	4.361	659
25.8	3.452	665
28.7	3.105	1000
30.3	2.948	615
31.7	2.826	543
46.4	1.956	276

Cell and atoms:
abc: 6.6298 6.6298 6.0065
angles: 104.77 104.77 82.25
Fractional coordinates of all 17 atoms:
1 Mn 0.0000 0.0000 0.0000
2 V 0.1342 0.4661 0.0146
3 V 0.2927 0.2705 0.4888
4 V 0.5339 0.8658 0.9854
5 V 0.7295 0.7073 0.5112
6 O 0.0164 0.7181 0.0382
7 O 0.0979 0.1039 0.3297
8 O 0.2820 0.4027 0.7970
9 O 0.2819 0.9836 0.9618
10 O 0.2934 0.4449 0.2961
11 O 0.5137 0.1297 0.5047
12 O 0.5551 0.7066 0.7039
13 O 0.5973 0.7180 0.2030
14 O 0.7149 0.0452 0.0469
15 O 0.8703 0.4863 0.4953
16 O 0.8961 0.9022 0.6703
17 O 0.9548 0.2851 0.9531

Entry 5:
# Mn3V2O8
Simulated powder diffractogram, Cu Kα (weighted mean of Kα1 and Kα2). Input: a structure optimized by DFT (GGA+U).
Peak positions follow from Bragg's law for the DFT cell and can differ from measured ones.

Principal peaks in the range 10 to 90 degrees two-theta, low angle first:
two_theta	d [Å]	I/Imax
26.1	3.412	355
28.5	3.135	525
33.7	2.658	1000
34.7	2.587	453
35.1	2.553	237
41.6	2.170	254
41.8	2.161	226
60.6	1.528	572

Cell and atoms:
abc: 6.7508 6.7508 8.6129
angles: 90.00 90.00 124.10
Fractional coordinates of all 26 atoms:
1 Mn 0.0000 0.0000 0.0000
2 Mn 0.1120 0.3880 0.2500
3 Mn 0.3880 0.1120 0.7500
4 Mn 0.5000 0.5000 0.5000
5 Mn 0.6120 0.8880 0.2500
6 Mn 0.8880 0.6120 0.7500
7 V 0.1195 0.8805 0.3816
8 V 0.3805 0.6195 0.8816
9 V 0.6195 0.3805 0.1184
10 V 0.8805 0.1195 0.6184
11 O 0.0006 0.9994 0.2489
12 O 0.1074 0.3404 0.5013
13 O 0.1596 0.3926 0.9987
14 O 0.2460 0.7540 0.2779
15 O 0.2540 0.7460 0.7779
16 O 0.3404 0.1074 0.4987
17 O 0.3926 0.1596 0.0013
18 O 0.4994 0.5006 0.7489
19 O 0.5006 0.4994 0.2511
20 O 0.6074 0.8404 0.9987
21 O 0.6596 0.8926 0.5013
22 O 0.7460 0.2540 0.2221
23 O 0.7540 0.2460 0.7221
24 O 0.8404 0.6074 0.0013
25 O 0.8926 0.6596 0.4987
26 O 0.9994 0.0006 0.7511

Entry 6:
# Mn2VO4
Simulated powder diffractogram, Cu Kα (weighted mean of Kα1 and Kα2). Input: a structure optimized by DFT (GGA+U).
Peak positions follow from Bragg's law for the DFT cell and can differ from measured ones.

Principal peaks in the range 10 to 90 degrees two-theta, low angle first:
two_theta	d [Å]	I/Imax
28.8	3.095	193
29.1	3.073	164
33.9	2.642	303
34.1	2.626	1000
41.4	2.181	313
54.7	1.678	181
59.8	1.548	302
60.2	1.537	309

Cell and atoms:
abc: 6.1910 6.1910 6.1910
angles: 59.52 59.52 59.52
Fractional coordinates of all 14 atoms:
1 Mn 0.0000 0.0000 0.0000
2 Mn 0.1292 0.6325 0.6325
3 Mn 0.6325 0.1292 0.6325
4 Mn 0.6325 0.6325 0.1292
5 V 0.2628 0.2628 0.2628
6 V 0.6344 0.6344 0.6344
7 O 0.3902 0.3902 0.3902
8 O 0.3954 0.3954 0.8719
9 O 0.3954 0.8719 0.3954
10 O 0.4093 0.8565 0.8565
11 O 0.8565 0.4093 0.8565
12 O 0.8565 0.8565 0.4093
13 O 0.8672 0.8672 0.8672
14 O 0.8719 0.3954 0.3954